Starting from a DFT-relaxed cell (GGA+U, Alexandria), the powder X-ray diffraction pattern of FeP3O9 was computed for CuKα.

Structure:
```
data_FeP3O9
_chemical_formula_sum 'Fe2 P6 O18'
_cell_length_a 6.7128
_cell_length_b 6.8843
_cell_length_c 7.3600
_cell_angle_alpha 102.00
_cell_angle_beta 93.21
_cell_angle_gamma 93.72
_symmetry_space_group_name_H-M 'P -1'
_symmetry_Int_Tables_number 2
_symmetry_space_group_name_Hall '-P 1'
loop_
_atom_site_label
_atom_site_type_symbol
_atom_site_fract_x
_atom_site_fract_y
_atom_site_fract_z
_atom_site_occupancy
Fe1 Fe 0.1645 0.0987 0.3569 1
P1 P 0.1426 0.2075 0.9446 1
P2 P 0.3300 0.4481 0.7039 1
P3 P 0.3333 0.8881 0.7015 1
O1 O 0.0509 0.8562 0.1741 1
O2 O 0.1305 0.2458 0.1523 1
O3 O 0.1711 0.9217 0.5591 1
O4 O 0.1781 0.3411 0.5475 1
O5 O 0.2469 0.4020 0.8978 1
O6 O 0.2800 0.6807 0.7507 1
O7 O 0.3015 0.0392 0.8941 1
O8 O 0.4524 0.0804 0.3376 1
O9 O 0.4560 0.5806 0.3069 1
```

The 12 most intense peaks (2θ = 15–90°), in order of rising 2θ:
2θ/deg, d_spacing, I (rel.)
17.98, 4.933, 100
18.77, 4.727, 41
19.93, 4.455, 23
26.68, 3.341, 32
28.52, 3.130, 45
28.66, 3.115, 30
28.87, 3.092, 28
29.06, 3.073, 26
30.60, 2.921, 30
30.80, 2.903, 29
31.73, 2.820, 52
32.42, 2.762, 65